The following is a calculated X-ray powder pattern of MnZnGaO4. It was derived from a DFT-relaxed cell (PBE+U, Alexandria), using Cu Kα X-rays.
Kinematic intensities with the Lorentz-polarization factor, no thermal factor.

The 8 most intense peaks (10° ≤ 2θ ≤ 90°), low angle first:
| 2theta | I/Imax |
| --- | --- |
| 29.99 | 33 |
| 35.18 | 50 |
| 35.49 | 100 |
| 43.19 | 15 |
| 56.43 | 16 |
| 57.03 | 18 |
| 57.15 | 18 |
| 62.31 | 43 |

Atomic structure:
```
MnZnGaO4
1.0
-2.9556 2.9686 4.2403
2.9556 -2.9686 4.2403
2.9556 2.9686 -4.2403
Mn Zn Ga O
2 2 2 8
Direct
0.5000 0.0000 0.0000
0.5000 0.5000 0.5000
0.1271 0.3771 0.7500
0.8729 0.6229 0.2500
0.0000 0.0000 0.0000
0.5000 0.0000 0.5000
0.2630 0.2384 0.0246
0.2635 0.2411 0.4776
0.2635 0.7859 0.0224
0.2862 0.7616 0.5246
0.7138 0.2384 0.4754
0.7365 0.2141 0.9776
0.7365 0.7589 0.5224
0.7370 0.7616 0.9754
```